Diffraction record for VGeF4. The powder diffractogram is theoretical, not measured: it uses the GGA+U geometry in Alexandria and Cu Ka.
Intensities are scaled so that the largest is 100.

Crystal structure
Unit cell a=5.633 b=5.787 c=5.491 alpha=90.00 beta=90.00 gamma=90.00
Space group Pmn2_1 (No. 31)
Symmetry-distinct sites (fractional):
V 0.000 0.029 0.000 x2
Ge 0.000 0.589 0.567 x2
F 0.000 0.371 0.881 x2
F 0.000 0.758 0.240 x2
F 0.225 0.837 0.736 x4

Peak list (12 most intense, 2θ = 15–90°, in order of rising 2θ)
(1 1 0), 22.02 deg, intensity 14.4
(0 1 1), 22.32 deg, intensity 30.3
(1 1 1), 27.42 deg, intensity 100.0
(2 0 0), 31.77 deg, intensity 26.1
(2 1 1), 39.17 deg, intensity 16.4
(0 2 2), 45.54 deg, intensity 12.6
(2 0 2), 46.17 deg, intensity 16.4
(2 2 1), 48.03 deg, intensity 11.8
(1 2 2), 48.48 deg, intensity 17.6
(3 1 1), 53.99 deg, intensity 15.8
(1 1 3), 55.09 deg, intensity 13.9
(2 3 1), 60.57 deg, intensity 11.3